[1]
# Pm3Be4Rh4
Theoretical XRD peak list, a wavelength of 1.5418 Å. Input: a DFT-relaxed cell (GGA-PBE, Alexandria).
No peak broadening, texture or thermal motion is included.

Principal peaks in the range 2θ = 10–90°, in order of falling intensity:
2θ/deg	Rel. int.
30.3	100.0
39.5	88.4
35.2	85.1
24.7	60.4
57.1	51.6
43.4	49.9
74.4	29.2
63.1	28.7
53.9	27.6
47.1	25.3

Structural model:
Cell: 6.2493 6.2493 6.2493 Å, 109.47 109.47 109.47°
Element x y z (fractional)
Pm1 0.0000 0.5000 0.5000
Pm2 0.5000 0.0000 0.5000
Pm3 0.5000 0.5000 0.0000
Be1 0.0000 0.0000 0.3589
Be2 0.0000 0.3589 0.0000
Be3 0.3589 0.0000 0.0000
Be4 0.6411 0.6411 0.6411
Rh1 0.0000 0.0000 0.7222
Rh2 0.0000 0.7222 0.0000
Rh3 0.2778 0.2778 0.2778
Rh4 0.7222 0.0000 0.0000

[2]
# La2TiGa3Pt4
Theoretical XRD peak list, a wavelength of 1.5418 Å. Input: a DFT-relaxed cell (GGA-PBE, Alexandria).
No peak broadening, texture or thermal motion is included.

Principal peaks in the range 2θ = 10–90°, in order of falling intensity:
2θ/deg	Rel. int.
34.0	100.0
42.5	63.8
32.3	49.7
44.7	35.2
46.6	32.1
30.8	28.4
64.8	23.8
54.3	22.8
72.2	22.3
61.6	21.2

Structural model:
Cell: 4.2587 4.2587 10.9617 Å, 90.00 90.00 90.00°
Element x y z (fractional)
La1 0.0000 0.5000 0.2463
La2 0.5000 0.0000 0.7537
Ti1 0.0000 0.0000 0.5000
Ga1 0.0000 0.5000 0.8703
Ga2 0.5000 0.0000 0.1297
Ga3 0.5000 0.5000 0.5000
Pt1 0.0000 0.0000 0.0000
Pt2 0.0000 0.5000 0.6386
Pt3 0.5000 0.0000 0.3614
Pt4 0.5000 0.5000 0.0000

[3]
# Ac2UGeN5
Theoretical XRD peak list, a wavelength of 1.5418 Å. Input: a DFT-relaxed cell (GGA-PBE, Alexandria).
No peak broadening, texture or thermal motion is included.

Principal peaks in the range 2θ = 10–90°, in order of falling intensity:
2θ/deg	Rel. int.
27.0	100.0
35.5	94.1
30.9	54.3
32.0	43.3
42.9	35.1
25.6	34.4
37.4	33.3
29.1	27.0
52.0	26.1
58.7	24.5

Structural model:
Cell: 7.6012 7.6012 11.0778 Å, 90.00 90.00 152.78°
Element x y z (fractional)
Ac1 0.1077 0.8923 0.5000
Ac2 0.1334 0.8666 0.1480
Ac3 0.8666 0.1334 0.6480
Ac4 0.8923 0.1077 0.0000
U1 0.1989 0.8011 0.8493
U2 0.8011 0.1989 0.3493
Ge1 0.4514 0.5486 0.2569
Ge2 0.5486 0.4514 0.7569
N1 0.0401 0.9599 0.8417
N2 0.2897 0.7103 0.4723
N3 0.3198 0.6802 0.2160
N4 0.3392 0.6608 0.8305
N5 0.4936 0.5064 0.6088
N6 0.5064 0.4936 0.1088
N7 0.6608 0.3392 0.3305
N8 0.6802 0.3198 0.7160
N9 0.7103 0.2897 0.9723
N10 0.9599 0.0401 0.3417

[4]
# Sr2Zn4Ga3Si
Theoretical XRD peak list, a wavelength of 1.5418 Å. Input: a DFT-relaxed cell (GGA-PBE, Alexandria).
No peak broadening, texture or thermal motion is included.

Principal peaks in the range 2θ = 10–90°, in order of falling intensity:
2θ/deg	Rel. int.
33.4	100.0
32.3	71.2
41.3	70.4
47.0	33.7
53.4	33.1
44.6	28.0
64.4	25.5
59.9	22.7
70.4	21.7
28.9	18.1

Structural model:
Cell: 4.3673 4.3673 10.7792 Å, 90.00 90.00 90.00°
Element x y z (fractional)
Sr1 0.0000 0.5000 0.2478
Sr2 0.5000 0.0000 0.7522
Zn1 0.0000 0.0000 0.5000
Zn2 0.0000 0.5000 0.8696
Zn3 0.5000 0.0000 0.1304
Zn4 0.5000 0.5000 0.5000
Ga1 0.0000 0.0000 0.0000
Ga2 0.0000 0.5000 0.6324
Ga3 0.5000 0.0000 0.3676
Si1 0.5000 0.5000 0.0000

[5]
# TlAg3S2
Theoretical XRD peak list, a wavelength of 1.5418 Å. Input: a DFT-relaxed cell (GGA-PBE, Alexandria).
No peak broadening, texture or thermal motion is included.

Principal peaks in the range 2θ = 10–90°, in order of falling intensity:
2θ/deg	Rel. int.
33.2	100.0
35.7	47.3
29.4	39.1
41.8	35.6
30.2	34.7
55.3	24.7
24.7	22.0
34.5	21.9
32.0	21.9
46.2	18.8

Structural model:
Cell: 4.3180 8.3949 8.7638 Å, 116.16 90.01 104.90°
Element x y z (fractional)
Tl1 0.1365 0.2723 0.0366
Tl2 0.8635 0.7277 0.9634
Ag1 0.0567 0.1141 0.3960
Ag2 0.3160 0.6317 0.6081
Ag3 0.3996 0.7995 0.3429
Ag4 0.6004 0.2005 0.6571
Ag5 0.6840 0.3683 0.3919
Ag6 0.9433 0.8859 0.6040
S1 0.1975 0.3945 0.7073
S2 0.4900 0.9793 0.7888
S3 0.5100 0.0207 0.2112
S4 0.8025 0.6055 0.2927

[6]
# Mn4In5
Theoretical XRD peak list, a wavelength of 1.5418 Å. Input: a DFT-relaxed cell (GGA-PBE, Alexandria).
No peak broadening, texture or thermal motion is included.

Principal peaks in the range 2θ = 10–90°, in order of falling intensity:
2θ/deg	Rel. int.
38.5	100.0
37.7	84.7
36.8	44.4
55.0	27.2
68.6	20.5
26.7	19.6
78.4	18.2
58.5	10.4
75.9	10.3
59.6	10.2

Structural model:
Cell: 8.2640 8.2640 5.6763 Å, 90.00 90.00 120.00°
Element x y z (fractional)
Mn1 0.0000 0.0000 0.0000
Mn2 0.0000 0.0000 0.5000
Mn3 0.0000 0.3834 0.2500
Mn4 0.0000 0.6166 0.7500
Mn5 0.3834 0.0000 0.2500
Mn6 0.3834 0.3834 0.7500
Mn7 0.6166 0.0000 0.7500
Mn8 0.6166 0.6166 0.2500
In1 0.0000 0.2814 0.7500
In2 0.0000 0.7186 0.2500
In3 0.2814 0.0000 0.7500
In4 0.2814 0.2814 0.2500
In5 0.3333 0.6667 0.0000
In6 0.3333 0.6667 0.5000
In7 0.6667 0.3333 0.0000
In8 0.6667 0.3333 0.5000
In9 0.7186 0.0000 0.2500
In10 0.7186 0.7186 0.7500